The following is a theoretical powder X-ray diffraction pattern of HoPuPa2Pt4. It was derived from a GGA-PBE-relaxed structure, using Cu Kα (λ = 1.5418 Å).
Peak positions follow from Bragg's law for the DFT cell and can differ from measured ones.

Crystal structure
Lattice parameters (Å, degrees): 8.110 8.123 11.550 90.00 90.00 90.00
Space group Fmmm (No. 69)
One atom of each set of equivalent atoms:
Ho: 0.000 0.000 0.000 x4
Pu: 0.000 0.000 0.500 x4
Pa: 0.250 0.250 0.250 x8
Pt: 0.000 0.000 0.250 x8
Pt: 0.250 0.250 0.000 x8

Largest 10 diffraction maxima, by angle, 10 to 80 degrees two-theta:
index	2θ (°)	Rel. int.
0 0 4	31.0	508
2 2 0	31.2	1000
2 2 4	44.5	765
4 0 0	44.7	379
4 0 4	55.3	408
0 0 8	64.5	65
4 4 0	65.0	126
2 2 8	73.4	178
4 4 4	73.8	264
6 2 0	73.9	88